I: calculated XRD peak list (copper Kα), based on DFT lattice parameters and positions (PBE).
Peak positions follow from Bragg's law for the DFT cell and can differ from measured ones.

Structural model:
```
I
1.0
3.2349 0.0000 0.0000
0.0000 3.2349 0.0000
0.0000 0.0000 8.5296
I
2
Cartesian
0.0000 0.0000 0.0000
1.6175 1.6175 4.2648
```

Peak list (8 most intense, 2θ = 15–90°, low angle first)
- 20.83°, 4.265 Å, rel. 60.2
- 29.53°, 3.025 Å, rel. 100.0
- 39.39°, 2.287 Å, rel. 22.7
- 42.33°, 2.135 Å, rel. 46.2
- 44.97°, 2.016 Å, rel. 31.0
- 59.24°, 1.560 Å, rel. 13.5
- 65.43°, 1.426 Å, rel. 20.0
- 73.45°, 1.289 Å, rel. 21.5

---

TlCu2S2: calculated XRD peak list (copper Kα), based on DFT lattice parameters and positions (PBE).
Peak positions follow from Bragg's law for the DFT cell and can differ from measured ones.

Structural model:
```
TlCu2S2
1.0
3.7801 0.0000 0.0000
0.0000 3.7801 0.0000
0.0000 0.0000 13.6649
Tl Cu S
2 4 4
Cartesian
0.0000 0.0000 0.0000
1.8901 1.8901 6.8325
0.0000 1.8901 3.4162
0.0000 1.8901 10.2487
1.8901 0.0000 3.4162
1.8901 0.0000 10.2487
0.0000 0.0000 4.8162
0.0000 0.0000 8.8487
1.8901 1.8901 2.0162
1.8901 1.8901 11.6487
```

Peak list (8 most intense, 2θ = 15–90°, low angle first)
- 24.43°, 3.643 Å, rel. 63.1
- 26.08°, 3.416 Å, rel. 43.2
- 30.74°, 2.909 Å, rel. 100.0
- 36.08°, 2.489 Å, rel. 97.3
- 40.74°, 2.215 Å, rel. 28.5
- 48.14°, 1.890 Å, rel. 33.5
- 52.81°, 1.734 Å, rel. 53.0
- 58.21°, 1.585 Å, rel. 31.9

---

GdErO3: calculated XRD peak list (copper Kα), based on DFT lattice parameters and positions (PBE).
Peak positions follow from Bragg's law for the DFT cell and can differ from measured ones.

Structural model:
```
GdErO3
1.0
7.5744 -5.3569 0.0000
7.5744 5.3569 0.0000
-7.5741 0.0000 7.5763
Gd Er O
8 8 24
Cartesian
0.0000 0.0000 0.0000
1.8924 3.0095 5.6657
5.6822 3.0095 1.9106
4.0171 0.3349 0.2361
7.5744 -0.0089 0.0000
3.5576 0.3349 7.3402
1.8938 -2.3422 5.6491
5.6809 -2.3422 1.9272
-0.2433 0.3339 3.5499
3.7873 0.6820 3.7882
-1.6482 -2.3449 5.4163
2.1369 -2.3444 1.6716
7.8179 0.3339 4.0264
3.7873 -4.6822 3.7882
5.4378 -2.3445 5.9047
9.2228 -2.3449 2.1601
3.6055 1.9573 1.8488
-2.2161 -0.9379 3.7371
-5.4544 -0.8603 7.4307
1.6622 1.4709 3.9335
5.9908 1.6475 0.0376
0.1879 -1.2783 2.0278
0.1442 -0.8314 5.4155
1.5838 1.6475 7.5388
3.9691 1.9573 5.7276
-1.9820 -1.3211 7.3949
3.8260 -0.9542 2.2434
5.9125 1.4709 3.6429
1.8014 -3.4392 3.5989
3.7487 -0.9542 5.3329
7.4304 -0.8314 2.1608
3.9329 -3.8558 1.7031
0.0502 -3.7275 5.9638
9.5567 -1.3211 0.1814
13.0290 -0.8603 0.1456
7.5245 -3.7275 1.6125
5.7732 -3.4392 3.9774
7.3867 -1.2783 5.5485
9.7907 -0.9379 3.8392
3.6417 -3.8558 5.8733
```

Peak list (8 most intense, 2θ = 15–90°, low angle first)
- 20.30°, 4.374 Å, rel. 9.7
- 28.87°, 3.093 Å, rel. 100.0
- 33.46°, 2.678 Å, rel. 35.1
- 43.05°, 2.101 Å, rel. 8.1
- 48.04°, 1.894 Å, rel. 38.7
- 57.02°, 1.615 Å, rel. 32.1
- 77.71°, 1.229 Å, rel. 8.9
- 80.12°, 1.198 Å, rel. 6.9